1.
This entry pairs a crystal structure of LiEuF2 with its simulated X-ray diffraction stick pattern. Radiation: Cu Kα, 1.54184 Å. Structure: a GGA-PBE-relaxed structure.
Lines closer than 0.1° are merged.

Structure:
Unit cell a=6.5251 b=6.5251 c=13.0566 alpha=90.00 beta=90.00 gamma=90.00
Space group I4_1/amd (No. 141, origin choice 2)
Symmetry-distinct sites (fractional):
Li 0.0000 0.0000 0.0000 x8
Eu 0.0000 0.0000 0.5000 x8
F 0.0000 0.0228 0.6915 x16

Principal peaks in the range 10 to 90 degrees two-theta, in order of rising 2θ:
| h k l | two_theta | intensity |
| --- | --- | --- |
| 1 0 1 | 15.18 | 100 |
| 0 0 4 | 27.32 | 27 |
| 2 0 2 | 30.63 | 51 |
| 2 1 1 | 31.41 | 41 |
| 1 0 5 | 37.09 | 29 |
| 2 2 0 | 39.04 | 31 |
| 2 1 5 | 46.68 | 19 |
| 2 2 4 | 48.31 | 23 |
| 2 0 6 | 50.41 | 25 |
| 2 0 10 | 79.00 | 19 |

2.
This entry pairs a crystal structure of LiEuF2 with its simulated X-ray diffraction stick pattern. Radiation: Cu Kα, 1.54184 Å. Structure: a GGA-PBE-relaxed structure.
Lines closer than 0.1° are merged.

Structure:
Unit cell a=6.9956 b=6.9956 c=11.2777 alpha=90.00 beta=90.00 gamma=90.00
Space group I4_1/amd (No. 141, origin choice 2)
Symmetry-distinct sites (fractional):
Li 0.0000 0.0000 0.0000 x8
Eu 0.0000 0.0000 0.5000 x8
F 0.0000 0.0398 0.1630 x16

Principal peaks in the range 10 to 90 degrees two-theta, in order of rising 2θ:
| h k l | two_theta | intensity |
| --- | --- | --- |
| 1 0 1 | 14.90 | 100 |
| 1 0 3 | 26.92 | 50 |
| 2 1 1 | 29.63 | 32 |
| 2 0 2 | 30.06 | 85 |
| 2 2 0 | 36.32 | 48 |
| 2 1 3 | 37.40 | 40 |
| 2 2 4 | 48.99 | 22 |
| 2 0 6 | 55.50 | 27 |
| 4 2 2 | 61.52 | 24 |
| 4 2 6 | 79.76 | 17 |

3.
This entry pairs a crystal structure of NaEuF4 with its simulated X-ray diffraction stick pattern. Radiation: Cu Kα, 1.54184 Å. Structure: a GGA-PBE-relaxed structure.
Lines closer than 0.1° are merged.

Structure:
Unit cell a=6.2392 b=7.2157 c=7.2566 alpha=95.83 beta=115.41 gamma=115.43
Space group P1 (No. 1)
Symmetry-distinct sites (fractional):
Na 0.0000 0.0000 0.0000 x1
Na 0.0955 0.7650 0.4180 x1
Na 0.5861 0.2523 0.9317 x1
Eu 0.2573 0.5911 0.9247 x1
Eu 0.4987 0.4979 0.5012 x1
Eu 0.7550 0.0874 0.4229 x1
F 0.0031 0.7397 0.7191 x1
F 0.1183 0.4744 0.5330 x1
F 0.1188 0.3990 0.1383 x1
F 0.1373 0.2211 0.7916 x1
F 0.1478 0.1247 0.4133 x1
F 0.2572 0.8283 0.1807 x1
F 0.5435 0.2803 0.2629 x1
F 0.5798 0.8597 0.5989 x1
F 0.6106 0.5893 0.8737 x1
F 0.6112 0.9699 0.0456 x1
F 0.6573 0.7132 0.2962 x1
F 0.7439 0.3220 0.6852 x1

Principal peaks in the range 10 to 90 degrees two-theta, in order of rising 2θ:
| h k l | two_theta | intensity |
| --- | --- | --- |
| 0 0 1 | 14.47 | 28 |
| 0 1 -1 | 16.46 | 100 |
| -2 1 1 | 28.61 | 29 |
| 1 1 -2 | 28.75 | 56 |
| 1 1 0 | 29.10 | 77 |
| -1 2 1 | 29.24 | 38 |
| 2 -1 1 | 41.27 | 46 |
| 3 0 -3 | 50.77 | 24 |
| 0 3 -3 | 51.06 | 42 |
| -3 3 2 | 51.15 | 18 |

4.
This entry pairs a crystal structure of NaEuTiNbO6F with its simulated X-ray diffraction stick pattern. Radiation: Cu Kα, 1.54184 Å. Structure: a GGA-PBE-relaxed structure.
Lines closer than 0.1° are merged.

Structure:
Unit cell a=7.2141 b=7.5568 c=10.3599 alpha=90.00 beta=90.00 gamma=90.00
Space group Imma (No. 74)
Symmetry-distinct sites (fractional):
Na 0.2500 0.2500 0.2500 x4
Eu 0.0000 0.0000 0.0000 x4
Ti 0.2500 0.2500 0.7500 x4
Nb 0.0000 0.0000 0.5000 x4
O 0.0000 0.2500 0.4332 x4
O 0.0000 0.2500 0.8259 x4
O 0.2046 0.0599 0.6237 x16
F 0.0000 0.2500 0.1268 x4

Principal peaks in the range 10 to 90 degrees two-theta, in order of rising 2θ:
| h k l | two_theta | intensity |
| --- | --- | --- |
| 0 0 2 | 17.12 | 55 |
| 0 2 0 | 23.55 | 24 |
| 2 0 0 | 24.68 | 22 |
| 0 2 2 | 29.26 | 100 |
| 2 0 2 | 30.19 | 92 |
| 2 2 0 | 34.37 | 32 |
| 2 2 2 | 38.64 | 28 |
| 2 2 4 | 49.59 | 63 |
| 2 4 2 | 57.91 | 28 |
| 4 2 2 | 59.54 | 25 |

5.
This entry pairs a crystal structure of NaEuTiNbO6F with its simulated X-ray diffraction stick pattern. Radiation: Cu Kα, 1.54184 Å. Structure: a GGA-PBE-relaxed structure.
Lines closer than 0.1° are merged.

Structure:
Unit cell a=7.3697 b=7.3697 c=10.4568 alpha=90.00 beta=90.00 gamma=90.00
Space group P4_322 (No. 95)
Symmetry-distinct sites (fractional):
Na 0.0000 0.2357 0.0000 x4
Eu 0.2374 0.5000 0.2500 x4
Ti 0.2590 0.5000 0.7500 x4
Nb 0.0000 0.2566 0.5000 x4
O 0.0575 0.4486 0.6317 x8
O 0.0626 0.0626 0.6250 x4
O 0.2522 0.2717 0.4293 x8
O 0.4584 0.4584 0.6250 x4
F 0.2419 0.2419 0.1250 x4

Principal peaks in the range 10 to 90 degrees two-theta, in order of rising 2θ:
| h k l | two_theta | intensity |
| --- | --- | --- |
| 1 1 1 | 19.03 | 44 |
| 2 0 2 | 29.66 | 100 |
| 1 1 3 | 30.86 | 13 |
| 2 2 0 | 34.42 | 17 |
| 3 1 1 | 39.62 | 13 |
| 1 1 5 | 46.87 | 14 |
| 2 2 4 | 49.41 | 49 |
| 2 0 6 | 58.59 | 14 |
| 4 2 2 | 58.75 | 27 |
| 4 2 6 | 80.16 | 10 |